1.
ScTlMo2O8: calculated PXRD pattern (a wavelength of 1.5418 Å), based on a DFT-relaxed cell (PBE+U, the Materials Project).
No peak broadening, texture or thermal motion is included.

Main lines, low angle first (10 to 90 degrees two-theta):
d/Å	2θ/deg	intensity
5.111	17.35	28
4.250	20.90	100
3.063	29.16	76
2.951	30.29	66
2.125	42.54	33
1.873	48.61	21
1.724	53.11	29
1.605	57.41	24

Structure:
```
data_ScTlMo2O8
_space_group_name_H-M_alt 'P 1'
_space_group_IT_number 1
_cell_length_a 5.902
_cell_length_b 5.902
_cell_length_c 7.652
_cell_angle_alpha 90.00
_cell_angle_beta 90.00
_cell_angle_gamma 120.00
loop_
_space_group_symop_operation_xyz
'x,y,z'
loop_
_atom_site_label
_atom_site_type_symbol
_atom_site_fract_x
_atom_site_fract_y
_atom_site_fract_z
Sc1 Sc 0.000 0.000 0.000
Tl1 Tl 0.000 0.000 0.500
Mo1 Mo 0.333 0.667 0.761
Mo2 Mo 0.667 0.333 0.239
O1 O 0.165 0.330 0.835
O2 O 0.165 0.835 0.835
O3 O 0.330 0.165 0.165
O4 O 0.333 0.667 0.532
O5 O 0.667 0.333 0.468
O6 O 0.670 0.835 0.835
O7 O 0.835 0.165 0.165
O8 O 0.835 0.670 0.165
```

=====

2.
Li6ScFe5Si12O36: calculated PXRD pattern (a wavelength of 1.5418 Å), based on a DFT-relaxed cell (PBE+U, the Materials Project).
No peak broadening, texture or thermal motion is included.

Main lines, low angle first (10 to 90 degrees two-theta):
d/Å	2θ/deg	intensity
6.381	13.88	49
4.516	19.66	31
4.418	20.10	28
3.548	25.10	37
3.049	29.29	100
2.904	30.79	61
2.510	35.77	31
1.658	55.43	28

Structure:
```
data_Li6ScFe5Si12O36
_space_group_name_H-M_alt 'P 1'
_space_group_IT_number 1
_cell_length_a 6.619
_cell_length_b 9.546
_cell_length_c 11.032
_cell_angle_alpha 77.35
_cell_angle_beta 79.06
_cell_angle_gamma 77.13
loop_
_space_group_symop_operation_xyz
'x,y,z'
loop_
_atom_site_label
_atom_site_type_symbol
_atom_site_fract_x
_atom_site_fract_y
_atom_site_fract_z
Li1 Li 0.000 0.000 0.000
Li2 Li 0.000 0.333 0.331
Li3 Li 0.002 0.662 0.662
Li4 Li 0.495 0.170 0.662
Li5 Li 0.499 0.500 0.998
Li6 Li 0.499 0.832 0.330
Sc1 Sc 0.852 0.930 0.782
Fe1 Fe 0.645 0.236 0.881
Fe2 Fe 0.646 0.901 0.544
Fe3 Fe 0.647 0.567 0.214
Fe4 Fe 0.852 0.264 0.115
Fe5 Fe 0.853 0.598 0.448
Si1 Si 0.136 0.631 0.172
Si2 Si 0.136 0.964 0.503
Si3 Si 0.137 0.296 0.840
Si4 Si 0.363 0.200 0.156
Si5 Si 0.365 0.533 0.489
Si6 Si 0.367 0.867 0.823
Si7 Si 0.542 0.582 0.715
Si8 Si 0.543 0.248 0.382
Si9 Si 0.543 0.915 0.051
Si10 Si 0.957 0.252 0.613
Si11 Si 0.957 0.917 0.279
Si12 Si 0.958 0.579 0.948
O1 O 0.100 0.132 0.529
O2 O 0.102 0.801 0.192
O3 O 0.105 0.631 0.028
O4 O 0.105 0.968 0.358
O5 O 0.106 0.299 0.695
O6 O 0.107 0.463 0.863
O7 O 0.123 0.284 0.146
O8 O 0.126 0.616 0.479
O9 O 0.129 0.951 0.816
O10 O 0.375 0.549 0.183
O11 O 0.376 0.212 0.849
O12 O 0.376 0.882 0.512
O13 O 0.393 0.031 0.136
O14 O 0.394 0.200 0.301
O15 O 0.395 0.533 0.634
O16 O 0.396 0.699 0.800
O17 O 0.399 0.364 0.469
O18 O 0.405 0.863 0.966
O19 O 0.545 0.946 0.721
O20 O 0.546 0.279 0.058
O21 O 0.549 0.611 0.391
O22 O 0.635 0.444 0.817
O23 O 0.635 0.776 0.152
O24 O 0.637 0.109 0.482
O25 O 0.718 0.001 0.953
O26 O 0.719 0.331 0.281
O27 O 0.719 0.664 0.614
O28 O 0.777 0.173 0.713
O29 O 0.781 0.497 0.049
O30 O 0.782 0.833 0.379
O31 O 0.862 0.056 0.178
O32 O 0.863 0.716 0.847
O33 O 0.868 0.390 0.510
O34 O 0.951 0.219 0.937
O35 O 0.951 0.553 0.271
O36 O 0.954 0.883 0.599
```

=====

What did the second record say?
Li6ScFe5Si12O36: calculated PXRD pattern (a wavelength of 1.5418 Å), based on a DFT-relaxed cell (PBE+U, the Materials Project).
No peak broadening, texture or thermal motion is included.

Main lines, low angle first (10 to 90 degrees two-theta):
d/Å	2θ/deg	intensity
6.381	13.88	49
4.516	19.66	31
4.418	20.10	28
3.548	25.10	37
3.049	29.29	100
2.904	30.79	61
2.510	35.77	31
1.658	55.43	28

Structure:
```
data_Li6ScFe5Si12O36
_space_group_name_H-M_alt 'P 1'
_space_group_IT_number 1
_cell_length_a 6.619
_cell_length_b 9.546
_cell_length_c 11.032
_cell_angle_alpha 77.35
_cell_angle_beta 79.06
_cell_angle_gamma 77.13
loop_
_space_group_symop_operation_xyz
'x,y,z'
loop_
_atom_site_label
_atom_site_type_symbol
_atom_site_fract_x
_atom_site_fract_y
_atom_site_fract_z
Li1 Li 0.000 0.000 0.000
Li2 Li 0.000 0.333 0.331
Li3 Li 0.002 0.662 0.662
Li4 Li 0.495 0.170 0.662
Li5 Li 0.499 0.500 0.998
Li6 Li 0.499 0.832 0.330
Sc1 Sc 0.852 0.930 0.782
Fe1 Fe 0.645 0.236 0.881
Fe2 Fe 0.646 0.901 0.544
Fe3 Fe 0.647 0.567 0.214
Fe4 Fe 0.852 0.264 0.115
Fe5 Fe 0.853 0.598 0.448
Si1 Si 0.136 0.631 0.172
Si2 Si 0.136 0.964 0.503
Si3 Si 0.137 0.296 0.840
Si4 Si 0.363 0.200 0.156
Si5 Si 0.365 0.533 0.489
Si6 Si 0.367 0.867 0.823
Si7 Si 0.542 0.582 0.715
Si8 Si 0.543 0.248 0.382
Si9 Si 0.543 0.915 0.051
Si10 Si 0.957 0.252 0.613
Si11 Si 0.957 0.917 0.279
Si12 Si 0.958 0.579 0.948
O1 O 0.100 0.132 0.529
O2 O 0.102 0.801 0.192
O3 O 0.105 0.631 0.028
O4 O 0.105 0.968 0.358
O5 O 0.106 0.299 0.695
O6 O 0.107 0.463 0.863
O7 O 0.123 0.284 0.146
O8 O 0.126 0.616 0.479
O9 O 0.129 0.951 0.816
O10 O 0.375 0.549 0.183
O11 O 0.376 0.212 0.849
O12 O 0.376 0.882 0.512
O13 O 0.393 0.031 0.136
O14 O 0.394 0.200 0.301
O15 O 0.395 0.533 0.634
O16 O 0.396 0.699 0.800
O17 O 0.399 0.364 0.469
O18 O 0.405 0.863 0.966
O19 O 0.545 0.946 0.721
O20 O 0.546 0.279 0.058
O21 O 0.549 0.611 0.391
O22 O 0.635 0.444 0.817
O23 O 0.635 0.776 0.152
O24 O 0.637 0.109 0.482
O25 O 0.718 0.001 0.953
O26 O 0.719 0.331 0.281
O27 O 0.719 0.664 0.614
O28 O 0.777 0.173 0.713
O29 O 0.781 0.497 0.049
O30 O 0.782 0.833 0.379
O31 O 0.862 0.056 0.178
O32 O 0.863 0.716 0.847
O33 O 0.868 0.390 0.510
O34 O 0.951 0.219 0.937
O35 O 0.951 0.553 0.271
O36 O 0.954 0.883 0.599
```